# 1
Structure and computed powder diffractogram of Cs2RbInCl6 (a cell relaxed with PBE; Cu Kα, 1.54184 Å).
No peak broadening, texture or thermal motion is included.

Most intense lines, 10 to 90 degrees two-theta, low angle first:
d = 4.018 Å, 22.12 deg, intensity 100
d = 3.281 Å, 27.18 deg, intensity 18
d = 2.841 Å, 31.48 deg, intensity 58
d = 2.320 Å, 38.82 deg, intensity 44
d = 2.009 Å, 45.13 deg, intensity 39
d = 1.797 Å, 50.81 deg, intensity 24
d = 1.641 Å, 56.06 deg, intensity 13
d = 1.519 Å, 61.01 deg, intensity 27
d = 1.271 Å, 74.70 deg, intensity 15
d = 1.115 Å, 87.53 deg, intensity 15

Structural model:
a = 11.3658 Å, b = 11.3658 Å, c = 11.3658 Å
α = 90.00°, β = 90.00°, γ = 90.00°
Space group Fm-3m (No. 225)
Unique sites:
Cs  0.2500  0.2500  0.2500 [8 per cell]
Rb  0.0000  0.0000  0.0000 [4 per cell]
In  0.0000  0.0000  0.5000 [4 per cell]
Cl  0.0000  0.0000  0.2757 [24 per cell]



# 2
Structure and computed powder diffractogram of Mg14ZrGa (a cell relaxed with PBE; Cu Kα, 1.54184 Å).
No peak broadening, texture or thermal motion is included.

Most intense lines, 10 to 90 degrees two-theta, low angle first:
d = 5.512 Å, 16.08 deg, intensity 27
d = 3.730 Å, 23.86 deg, intensity 18
d = 2.756 Å, 32.49 deg, intensity 27
d = 2.533 Å, 35.43 deg, intensity 25
d = 2.421 Å, 37.14 deg, intensity 100
d = 1.865 Å, 48.83 deg, intensity 17
d = 1.591 Å, 57.96 deg, intensity 17
d = 1.440 Å, 64.74 deg, intensity 18
d = 1.347 Å, 69.80 deg, intensity 19
d = 1.330 Å, 70.87 deg, intensity 14

Structural model:
a = 6.3644 Å, b = 6.3644 Å, c = 10.1333 Å
α = 90.00°, β = 90.00°, γ = 120.00°
Space group P-6m2 (No. 187)
Unique sites:
Mg  0.0000  0.0000  0.2448 [2 per cell]
Mg  0.0085  0.5043  0.2508 [6 per cell]
Mg  0.3316  0.1658  0.5000 [3 per cell]
Mg  0.3384  0.1692  0.0000 [3 per cell]
Zr  0.3333  0.6667  0.0000 [1 per cell]
Ga  0.3333  0.6667  0.5000 [1 per cell]



# 3
Structure and computed powder diffractogram of HfMoP (a cell relaxed with PBE; Cu Kα, 1.54184 Å).
No peak broadening, texture or thermal motion is included.

Most intense lines, 10 to 90 degrees two-theta, low angle first:
d = 3.466 Å, 25.71 deg, intensity 30
d = 2.432 Å, 36.96 deg, intensity 100
d = 2.269 Å, 39.73 deg, intensity 47
d = 2.254 Å, 40.00 deg, intensity 49
d = 2.001 Å, 45.32 deg, intensity 17
d = 1.707 Å, 53.69 deg, intensity 14
d = 1.665 Å, 55.17 deg, intensity 16
d = 1.496 Å, 62.02 deg, intensity 29
d = 1.364 Å, 68.82 deg, intensity 19
d = 1.277 Å, 74.26 deg, intensity 18

Structural model:
a = 6.9314 Å, b = 6.9314 Å, c = 3.4144 Å
α = 90.00°, β = 90.00°, γ = 120.00°
Space group P-62m (No. 189)
Unique sites:
Hf  0.0000  0.5967  0.0000 [3 per cell]
Mo  0.0000  0.2530  0.5000 [3 per cell]
P  0.0000  0.0000  0.0000 [1 per cell]
P  0.3333  0.6667  0.5000 [2 per cell]



# 4
Structure and computed powder diffractogram of LuSi2Os2 (a cell relaxed with PBE; Cu Kα, 1.54184 Å).
No peak broadening, texture or thermal motion is included.

Most intense lines, 10 to 90 degrees two-theta, low angle first:
d = 4.754 Å, 18.67 deg, intensity 17
d = 3.824 Å, 23.26 deg, intensity 17
d = 2.525 Å, 35.56 deg, intensity 16
d = 2.509 Å, 35.79 deg, intensity 100
d = 2.377 Å, 37.85 deg, intensity 17
d = 2.088 Å, 43.32 deg, intensity 36
d = 1.569 Å, 58.86 deg, intensity 20
d = 1.477 Å, 62.94 deg, intensity 12
d = 1.396 Å, 67.02 deg, intensity 17
d = 1.273 Å, 74.57 deg, intensity 24

Structural model:
a = 4.1769 Å, b = 4.1769 Å, c = 9.5075 Å
α = 90.00°, β = 90.00°, γ = 90.00°
Space group I4/mmm (No. 139)
Unique sites:
Lu  0.0000  0.0000  0.0000 [2 per cell]
Si  0.0000  0.0000  0.3728 [4 per cell]
Os  0.0000  0.5000  0.2500 [4 per cell]